Structure and calculated X-ray powder pattern of Pr2TcC2 (DFT lattice parameters and positions (GGA-PBE); Cu Ka).
Neutral-atom scattering factors, no anomalous dispersion.

Structure:
```
data_Pr2TcC2
_chemical_formula_sum 'Pr4 Tc2 C4'
_space_group_name_H-M_alt 'P 1'
_space_group_IT_number 1
_space_group_name_Hall 'P 1'
_cell_length_a 6.3912
_cell_length_b 6.3912
_cell_length_c 6.9030
_cell_angle_alpha 117.01
_cell_angle_beta 117.01
_cell_angle_gamma 50.15
loop_
_atom_site_label
_atom_site_type_symbol
_atom_site_fract_x
_atom_site_fract_y
_atom_site_fract_z
Pr1 Pr 0.0351 0.0351 0.2855
Pr2 Pr 0.3183 0.3183 0.8710
Pr3 Pr 0.6817 0.6817 0.1290
Pr4 Pr 0.9649 0.9649 0.7145
Tc1 Tc 0.3649 0.3649 0.3689
Tc2 Tc 0.6351 0.6351 0.6311
C1 C 0.1847 0.1847 0.1177
C2 C 0.4940 0.4940 0.7132
C3 C 0.5060 0.5060 0.2868
C4 C 0.8153 0.8153 0.8823
```

Main lines, sorted by position (10° ≤ 2θ ≤ 90°):
two_theta  d_spacing  I_rel
28.4  3.139  50
31.3  2.855  100
31.5  2.842  97
33.0  2.718  24
33.1  2.709  73
33.2  2.697  41
47.6  1.911  29
54.7  1.678  24
58.0  1.591  27
60.2  1.538  30

---

Structure and calculated X-ray powder pattern of Pt14C (DFT lattice parameters and positions (GGA-PBE); Cu Ka).
Neutral-atom scattering factors, no anomalous dispersion.

Structure:
```
data_Pt14C
_chemical_formula_sum 'Pt14 C1'
_space_group_name_H-M_alt 'P 1'
_space_group_IT_number 1
_space_group_name_Hall 'P 1'
_cell_length_a 6.4228
_cell_length_b 6.4228
_cell_length_c 6.4228
_cell_angle_alpha 79.11
_cell_angle_beta 79.11
_cell_angle_gamma 79.11
loop_
_atom_site_label
_atom_site_type_symbol
_atom_site_fract_x
_atom_site_fract_y
_atom_site_fract_z
Pt1 Pt 0.1414 0.1414 0.1414
Pt2 Pt 0.1770 0.5000 0.8230
Pt3 Pt 0.1770 0.8230 0.5000
Pt4 Pt 0.2223 0.2223 0.5508
Pt5 Pt 0.2223 0.5508 0.2223
Pt6 Pt 0.4492 0.7777 0.7777
Pt7 Pt 0.5000 0.1770 0.8230
Pt8 Pt 0.5000 0.8230 0.1770
Pt9 Pt 0.5508 0.2223 0.2223
Pt10 Pt 0.7777 0.4492 0.7777
Pt11 Pt 0.7777 0.7777 0.4492
Pt12 Pt 0.8230 0.1770 0.5000
Pt13 Pt 0.8230 0.5000 0.1770
Pt14 Pt 0.8586 0.8586 0.8586
C1 C 0.0000 0.0000 0.0000
```

Main lines, sorted by position (10° ≤ 2θ ≤ 90°):
two_theta  d_spacing  I_rel
34.2  2.623  40
36.3  2.477  12
37.5  2.401  14
38.1  2.361  16
41.5  2.176  29
43.6  2.076  100
68.9  1.363  22
77.2  1.236  14
83.7  1.155  23
85.1  1.140  15

---

Structure and calculated X-ray powder pattern of Pt4C3 (DFT lattice parameters and positions (GGA-PBE); Cu Ka).
Neutral-atom scattering factors, no anomalous dispersion.

Structure:
```
data_Pt4C3
_chemical_formula_sum 'Pt4 C3'
_space_group_name_H-M_alt 'P 1'
_space_group_IT_number 1
_space_group_name_Hall 'P 1'
_cell_length_a 10.7087
_cell_length_b 10.7087
_cell_length_c 10.7087
_cell_angle_alpha 16.61
_cell_angle_beta 16.61
_cell_angle_gamma 16.61
loop_
_atom_site_label
_atom_site_type_symbol
_atom_site_fract_x
_atom_site_fract_y
_atom_site_fract_z
Pt1 Pt 0.0000 0.0000 0.0000
Pt2 Pt 0.1496 0.1496 0.1496
Pt3 Pt 0.5756 0.5756 0.5756
Pt4 Pt 0.7393 0.7393 0.7393
C1 C 0.3026 0.3026 0.3026
C2 C 0.4460 0.4460 0.4460
C3 C 0.8775 0.8775 0.8775
```

Main lines, sorted by position (10° ≤ 2θ ≤ 90°):
two_theta  d_spacing  I_rel
34.0  2.640  74
36.4  2.467  69
39.1  2.305  100
40.7  2.219  12
53.0  1.728  24
59.8  1.546  35
66.0  1.415  21
70.6  1.334  35
72.1  1.310  10
73.8  1.284  16

---

Structure and calculated X-ray powder pattern of TmSnPtC (DFT lattice parameters and positions (GGA-PBE); Cu Ka).
Neutral-atom scattering factors, no anomalous dispersion.

Structure:
```
data_TmSnPtC
_chemical_formula_sum 'Tm2 Sn2 Pt2 C2'
_space_group_name_H-M_alt 'P 1'
_space_group_IT_number 1
_space_group_name_Hall 'P 1'
_cell_length_a 4.5302
_cell_length_b 4.5302
_cell_length_c 7.8561
_cell_angle_alpha 90.00
_cell_angle_beta 90.00
_cell_angle_gamma 120.00
loop_
_atom_site_label
_atom_site_type_symbol
_atom_site_fract_x
_atom_site_fract_y
_atom_site_fract_z
Tm1 Tm 0.3333 0.6667 0.3151
Tm2 Tm 0.6667 0.3333 0.6849
Sn1 Sn 0.0000 0.0000 0.0000
Sn2 Sn 0.0000 0.0000 0.5000
Pt1 Pt 0.3333 0.6667 0.8831
Pt2 Pt 0.6667 0.3333 0.1169
C1 C 0.3333 0.6667 0.6230
C2 C 0.6667 0.3333 0.3770
```

Main lines, sorted by position (10° ≤ 2θ ≤ 90°):
two_theta  d_spacing  I_rel
32.2  2.776  100
39.8  2.265  71
41.5  2.178  21
52.1  1.755  44
58.8  1.570  10
67.5  1.387  33
72.2  1.308  12
73.4  1.291  17
81.3  1.183  10
85.8  1.133  11

---

What did the second record say?
Structure and calculated X-ray powder pattern of Pt14C (DFT lattice parameters and positions (GGA-PBE); Cu Ka).
Neutral-atom scattering factors, no anomalous dispersion.

Structure:
```
data_Pt14C
_chemical_formula_sum 'Pt14 C1'
_space_group_name_H-M_alt 'P 1'
_space_group_IT_number 1
_space_group_name_Hall 'P 1'
_cell_length_a 6.4228
_cell_length_b 6.4228
_cell_length_c 6.4228
_cell_angle_alpha 79.11
_cell_angle_beta 79.11
_cell_angle_gamma 79.11
loop_
_atom_site_label
_atom_site_type_symbol
_atom_site_fract_x
_atom_site_fract_y
_atom_site_fract_z
Pt1 Pt 0.1414 0.1414 0.1414
Pt2 Pt 0.1770 0.5000 0.8230
Pt3 Pt 0.1770 0.8230 0.5000
Pt4 Pt 0.2223 0.2223 0.5508
Pt5 Pt 0.2223 0.5508 0.2223
Pt6 Pt 0.4492 0.7777 0.7777
Pt7 Pt 0.5000 0.1770 0.8230
Pt8 Pt 0.5000 0.8230 0.1770
Pt9 Pt 0.5508 0.2223 0.2223
Pt10 Pt 0.7777 0.4492 0.7777
Pt11 Pt 0.7777 0.7777 0.4492
Pt12 Pt 0.8230 0.1770 0.5000
Pt13 Pt 0.8230 0.5000 0.1770
Pt14 Pt 0.8586 0.8586 0.8586
C1 C 0.0000 0.0000 0.0000
```

Main lines, sorted by position (10° ≤ 2θ ≤ 90°):
two_theta  d_spacing  I_rel
34.2  2.623  40
36.3  2.477  12
37.5  2.401  14
38.1  2.361  16
41.5  2.176  29
43.6  2.076  100
68.9  1.363  22
77.2  1.236  14
83.7  1.155  23
85.1  1.140  15

---

- Which formula does entry 2 have?
  Pt14C